The following is a computed powder X-ray diffraction pattern of Fe3P6H14N3O24. It was derived from the PBE+U geometry in Alexandria, using Cu Kα X-rays.
Kinematic intensities with the Lorentz-polarization factor, no thermal factor.

Crystal structure
```
data_Fe3P6H14N3O24
_chemical_formula_sum 'Fe3 P6 H14 N3 O24'
_space_group_name_H-M_alt 'P 1'
_space_group_IT_number 1
_space_group_name_Hall 'P 1'
_cell_length_a 7.342
_cell_length_b 9.071
_cell_length_c 9.469
_cell_angle_alpha 64.44
_cell_angle_beta 71.00
_cell_angle_gamma 68.98
loop_
_atom_site_label
_atom_site_type_symbol
_atom_site_fract_x
_atom_site_fract_y
_atom_site_fract_z
Fe1 Fe 0.000 0.000 0.000
Fe2 Fe 0.209 0.215 0.447
Fe3 Fe 0.791 0.785 0.553
P1 P 0.076 0.620 0.270
P2 P 0.091 0.846 0.718
P3 P 0.451 0.043 0.731
P4 P 0.549 0.957 0.269
P5 P 0.909 0.154 0.282
P6 P 0.924 0.380 0.730
H1 H 0.084 0.540 0.727
H2 H 0.278 0.968 0.200
H3 H 0.310 0.316 0.899
H4 H 0.356 0.482 0.901
H5 H 0.369 0.298 0.066
H6 H 0.394 0.764 0.761
H7 H 0.456 0.694 0.101
H8 H 0.544 0.306 0.899
H9 H 0.606 0.236 0.239
H10 H 0.631 0.702 0.934
H11 H 0.644 0.518 0.099
H12 H 0.690 0.684 0.101
H13 H 0.722 0.032 0.800
H14 H 0.916 0.460 0.273
N1 N 0.394 0.351 0.942
N2 N 0.500 0.500 0.500
N3 N 0.606 0.649 0.058
O1 O 0.006 0.259 0.312
O2 O 0.012 0.683 0.410
O3 O 0.056 0.081 0.153
O4 O 0.106 0.414 0.758
O5 O 0.151 0.759 0.118
O6 O 0.163 0.985 0.569
O7 O 0.241 0.453 0.300
O8 O 0.261 0.033 0.861
O9 O 0.280 0.712 0.790
O10 O 0.408 0.170 0.567
O11 O 0.413 0.893 0.221
O12 O 0.436 0.139 0.273
O13 O 0.564 0.861 0.727
O14 O 0.587 0.107 0.779
O15 O 0.592 0.830 0.433
O16 O 0.720 0.288 0.210
O17 O 0.739 0.967 0.139
O18 O 0.759 0.547 0.700
O19 O 0.837 0.015 0.431
O20 O 0.849 0.241 0.882
O21 O 0.894 0.586 0.242
O22 O 0.944 0.919 0.847
O23 O 0.988 0.317 0.590
O24 O 0.994 0.741 0.688
```

Top 10 peaks for 2θ = 10–80°, by angle:
10.6 deg, intensity 29.3; 11.2 deg, intensity 100.0; 13.2 deg, intensity 56.6; 14.0 deg, intensity 94.8; 27.1 deg, intensity 26.3; 27.9 deg, intensity 70.2; 29.5 deg, intensity 36.8; 29.6 deg, intensity 33.2; 29.9 deg, intensity 28.0; 32.8 deg, intensity 29.6



The following is a computed powder X-ray diffraction pattern of Ba2Ni3F10. It was derived from the PBE+U geometry in Alexandria, using Cu Kα X-rays.
Kinematic intensities with the Lorentz-polarization factor, no thermal factor.

Crystal structure
```
data_Ba2Ni3F10
_chemical_formula_sum 'Ba4 Ni6 F20'
_space_group_name_H-M_alt 'P 1'
_space_group_IT_number 1
_space_group_name_Hall 'P 1'
_cell_length_a 9.852
_cell_length_b 9.852
_cell_length_c 7.935
_cell_angle_alpha 110.73
_cell_angle_beta 110.73
_cell_angle_gamma 35.62
loop_
_atom_site_label
_atom_site_type_symbol
_atom_site_fract_x
_atom_site_fract_y
_atom_site_fract_z
Ba1 Ba 0.114 0.114 0.221
Ba2 Ba 0.217 0.217 0.814
Ba3 Ba 0.783 0.783 0.186
Ba4 Ba 0.886 0.886 0.779
Ni1 Ni 0.247 0.753 0.500
Ni2 Ni 0.323 0.323 0.483
Ni3 Ni 0.425 0.425 0.041
Ni4 Ni 0.575 0.575 0.959
Ni5 Ni 0.677 0.677 0.517
Ni6 Ni 0.753 0.247 0.500
F1 F 0.000 0.500 0.500
F2 F 0.017 0.017 0.682
F3 F 0.112 0.589 0.024
F4 F 0.129 0.647 0.473
F5 F 0.263 0.263 0.219
F6 F 0.275 0.725 0.000
F7 F 0.353 0.871 0.527
F8 F 0.366 0.366 0.757
F9 F 0.411 0.888 0.976
F10 F 0.478 0.478 0.316
F11 F 0.500 0.000 0.500
F12 F 0.522 0.522 0.684
F13 F 0.589 0.112 0.024
F14 F 0.634 0.634 0.243
F15 F 0.647 0.129 0.473
F16 F 0.725 0.275 0.000
F17 F 0.737 0.737 0.781
F18 F 0.871 0.353 0.527
F19 F 0.888 0.411 0.976
F20 F 0.983 0.983 0.318
```

Top 10 peaks for 2θ = 10–80°, by angle:
27.2 deg, intensity 100.0; 27.7 deg, intensity 56.5; 28.6 deg, intensity 53.0; 29.6 deg, intensity 26.4; 35.7 deg, intensity 19.6; 38.6 deg, intensity 29.6; 41.6 deg, intensity 49.4; 41.8 deg, intensity 16.4; 49.5 deg, intensity 22.6; 51.1 deg, intensity 17.2